For Mn6P4H2O17, a DFT-relaxed cell (GGA+U, Alexandria) gives the calculated powder diffraction line list in this record (λ = 1.5418 Å (Cu Kα)).
Peak positions follow from Bragg's law for the DFT cell and can differ from measured ones.

The 10 most intense peaks (15° ≤ 2θ ≤ 90°), by angle:
2θ (°)  intensity
22.83  41
27.69  56
28.38  59
29.23  36
29.62  47
29.87  52
30.37  100
31.13  38
35.90  59
43.31  30

Cell and atoms:
```
Mn6P4H2O17
1.0
4.721 -8.836 0.000
4.721 8.836 0.000
-0.379 0.000 8.256
Mn P H O
12 8 4 34
Direct
0.017 0.271 0.376 Mn
0.041 0.447 0.912 Mn
0.084 0.916 0.500 Mn
0.271 0.017 0.876 Mn
0.385 0.557 0.464 Mn
0.447 0.041 0.412 Mn
0.518 0.892 0.066 Mn
0.557 0.385 0.964 Mn
0.672 0.911 0.641 Mn
0.892 0.518 0.566 Mn
0.911 0.672 0.141 Mn
0.916 0.084 0.000 Mn
0.175 0.666 0.264 P
0.217 0.281 0.730 P
0.281 0.217 0.230 P
0.287 0.767 0.711 P
0.666 0.175 0.764 P
0.767 0.287 0.211 P
0.773 0.875 0.331 P
0.875 0.773 0.831 P
0.401 0.553 0.113 H
0.415 0.561 0.924 H
0.553 0.401 0.613 H
0.561 0.415 0.424 H
0.026 0.859 0.950 O
0.060 0.690 0.369 O
0.094 0.621 0.092 O
0.099 0.275 0.855 O
0.110 0.181 0.202 O
0.122 0.605 0.712 O
0.181 0.110 0.702 O
0.192 0.531 0.327 O
0.193 0.343 0.568 O
0.275 0.099 0.355 O
0.276 0.892 0.610 O
0.340 0.846 0.885 O
0.343 0.193 0.068 O
0.345 0.823 0.263 O
0.396 0.403 0.790 O
0.403 0.396 0.290 O
0.410 0.618 0.022 O
0.414 0.737 0.647 O
0.531 0.192 0.827 O
0.605 0.122 0.212 O
0.617 0.751 0.417 O
0.618 0.410 0.522 O
0.621 0.094 0.592 O
0.690 0.060 0.869 O
0.734 0.913 0.162 O
0.737 0.414 0.147 O
0.751 0.617 0.917 O
0.815 0.885 0.812 O
0.823 0.345 0.763 O
0.846 0.340 0.385 O
0.859 0.026 0.450 O
0.885 0.815 0.312 O
0.892 0.276 0.110 O
0.913 0.734 0.662 O
```